(1)
The following is a theoretical powder XRD pattern of Dy4Zn2Ag3. It was derived from a cell relaxed with GGA-PBE, using Cu Ka.

Structure:
a = 5.015 Å, b = 5.015 Å, c = 9.292 Å
α = 90.00°, β = 90.00°, γ = 120.00°
Positions (direct):
Dy (0.000, 0.000, 0.167)
Dy (0.000, 0.000, 0.833)
Dy (0.333, 0.667, 0.614)
Dy (0.667, 0.333, 0.386)
Zn (0.333, 0.667, 0.278)
Zn (0.667, 0.333, 0.722)
Ag (0.000, 0.000, 0.500)
Ag (0.333, 0.667, 0.977)
Ag (0.667, 0.333, 0.023)

Main lines, by angle (2θ from 5° to 70°):
two_theta	I/Imax
22.60	6
28.13	13
35.60	99
35.81	100
51.39	34
59.74	4
62.17	5
63.81	14
64.22	34
64.35	18

(2)
The following is a theoretical powder XRD pattern of DyZn4Ag8. It was derived from a cell relaxed with GGA-PBE, using Cu Ka.

Structure:
a = 7.128 Å, b = 7.128 Å, c = 7.128 Å
α = 97.89°, β = 97.89°, γ = 136.50°
Positions (direct):
Dy (0.000, 0.000, 0.000)
Zn (0.000, 0.000, 0.500)
Zn (0.000, 0.500, 0.000)
Zn (0.500, 0.000, 0.000)
Zn (0.500, 0.500, 0.500)
Ag (0.000, 0.346, 0.346)
Ag (0.000, 0.654, 0.654)
Ag (0.285, 0.500, 0.785)
Ag (0.346, 0.000, 0.346)
Ag (0.500, 0.285, 0.785)
Ag (0.500, 0.715, 0.215)
Ag (0.654, 0.000, 0.654)
Ag (0.715, 0.500, 0.215)

Main lines, by angle (2θ from 5° to 70°):
two_theta	I/Imax
33.35	49
33.94	26
38.46	47
38.63	100
39.16	44
43.21	17
43.37	18
43.85	40
63.87	22
69.68	24

(3)
The following is a theoretical powder XRD pattern of Dy2Zn12Ag5. It was derived from a cell relaxed with GGA-PBE, using Cu Ka.

Structure:
a = 6.942 Å, b = 6.942 Å, c = 6.942 Å
α = 83.05°, β = 83.05°, γ = 83.05°
Positions (direct):
Dy (0.159, 0.159, 0.159)
Dy (0.841, 0.841, 0.841)
Zn (0.147, 0.147, 0.669)
Zn (0.147, 0.669, 0.147)
Zn (0.196, 0.500, 0.804)
Zn (0.196, 0.804, 0.500)
Zn (0.331, 0.853, 0.853)
Zn (0.500, 0.196, 0.804)
Zn (0.500, 0.804, 0.196)
Zn (0.669, 0.147, 0.147)
Zn (0.804, 0.196, 0.500)
Zn (0.804, 0.500, 0.196)
Zn (0.853, 0.331, 0.853)
Zn (0.853, 0.853, 0.331)
Ag (0.000, 0.500, 0.500)
Ag (0.396, 0.396, 0.396)
Ag (0.500, 0.000, 0.500)
Ag (0.500, 0.500, 0.000)
Ag (0.604, 0.604, 0.604)

Main lines, by angle (2θ from 5° to 70°):
two_theta	I/Imax
27.84	25
33.74	46
34.99	20
39.15	82
39.46	100
40.26	29
40.39	34
40.57	27
44.28	46
57.48	28

(4)
The following is a theoretical powder XRD pattern of DyZn3Ag. It was derived from a cell relaxed with GGA-PBE, using Cu Ka.

Structure:
a = 5.010 Å, b = 5.010 Å, c = 5.010 Å
α = 123.83°, β = 102.83°, γ = 102.78°
Positions (direct):
Dy (0.000, 0.000, 0.000)
Zn (0.290, 0.790, 0.500)
Zn (0.304, 0.499, 0.804)
Zn (0.695, 0.499, 0.196)
Ag (0.695, 0.195, 0.500)

Main lines, by angle (2θ from 5° to 70°):
two_theta	I/Imax
28.56	17
37.40	100
38.16	24
45.91	14
48.35	8
56.56	7
59.12	7
61.18	12
63.10	8
68.47	16